This entry pairs a crystal structure of LaPrHoAg with its simulated powder X-ray diffraction pattern. Radiation: Cu Kα, 1.54184 Å. Structure: a cell relaxed with PBE.
Peak positions follow from Bragg's law for the DFT cell and can differ from measured ones.

Structural model:
a b c (Å): 3.7099 3.7099 8.8648
angles (deg): 90.00 90.00 90.00
Element x y z (fractional)
La 0.0000 0.0000 0.0000
Pr 0.5000 0.5000 0.2998
Ho 0.0000 0.0000 0.5812
Ag 0.5000 0.5000 0.7653

Principal peaks in the range 10 to 80 degrees two-theta, in order of rising 2θ:
- 2θ = 31.45°, intensity 100
- 2θ = 34.18°, intensity 47
- 2θ = 38.97°, intensity 8
- 2θ = 46.28°, intensity 9
- 2θ = 49.11°, intensity 17
- 2θ = 54.18°, intensity 12
- 2θ = 57.62°, intensity 9
- 2θ = 59.49°, intensity 32


This entry pairs a crystal structure of AcSnHg6 with its simulated powder X-ray diffraction pattern. Radiation: Cu Kα, 1.54184 Å. Structure: a cell relaxed with PBE.
Peak positions follow from Bragg's law for the DFT cell and can differ from measured ones.

Structural model:
a b c (Å): 5.3700 6.1841 7.5220
angles (deg): 72.88 89.84 68.15
Element x y z (fractional)
Ac 0.0000 0.0000 0.0000
Sn 0.0000 0.0000 0.5000
Hg 0.2476 0.4987 0.3837
Hg 0.2753 0.4625 0.8725
Hg 0.4947 0.0138 0.2742
Hg 0.5053 0.9862 0.7258
Hg 0.7247 0.5375 0.1275
Hg 0.7524 0.5013 0.6163

Principal peaks in the range 10 to 80 degrees two-theta, in order of rising 2θ:
- 2θ = 32.66°, intensity 100
- 2θ = 32.89°, intensity 94
- 2θ = 33.01°, intensity 90
- 2θ = 33.46°, intensity 96
- 2θ = 33.92°, intensity 91
- 2θ = 34.16°, intensity 85
- 2θ = 45.80°, intensity 38
- 2θ = 60.02°, intensity 33


This entry pairs a crystal structure of ReHgMo with its simulated powder X-ray diffraction pattern. Radiation: Cu Kα, 1.54184 Å. Structure: a cell relaxed with PBE.
Peak positions follow from Bragg's law for the DFT cell and can differ from measured ones.

Structural model:
a b c (Å): 6.0368 6.0368 6.0368
angles (deg): 150.64 150.64 42.00
Element x y z (fractional)
Re 0.0000 0.0000 0.0000
Hg 0.6847 0.6847 0.0000
Mo 0.3735 0.3735 0.0000

Principal peaks in the range 10 to 80 degrees two-theta, in order of rising 2θ:
- 2θ = 30.27°, intensity 12
- 2θ = 37.92°, intensity 100
- 2θ = 41.75°, intensity 41
- 2θ = 48.46°, intensity 10
- 2θ = 60.52°, intensity 14
- 2θ = 65.51°, intensity 9
- 2θ = 65.84°, intensity 16
- 2θ = 73.68°, intensity 29